Diffraction record for Ce3Th2O9. The powder X-ray diffraction pattern is computed, not measured: it uses DFT lattice parameters and positions (GGA-PBE) and Cu Kα, 1.54184 Å.
No peak broadening, texture or thermal motion is included.

Principal peaks in the range 5° ≤ 2θ ≤ 70°, in order of rising 2θ:
(hkl), 2theta, I/Imax
0 2 0, 8.98, 10
1 0 1, 27.70, 100
0 0 2, 31.85, 11
1 5 0, 32.22, 23
1 5 2, 45.94, 33
0 10 0, 46.10, 8
2 0 0, 46.31, 9
0 5 3, 54.26, 14
1 10 1, 54.66, 15
2 5 1, 54.80, 15

Atomic structure:
Lattice parameters (Å, degrees): 3.921 19.689 5.619 90.00 90.00 90.00
Space group Imm2 (No. 44)
One atom of each set of equivalent atoms:
Ce (0.000, 0.000, 0.000) (multiplicity 2)
Ce (0.000, 0.395, 0.949) (multiplicity 4)
Th (0.000, 0.197, 0.953) (multiplicity 4)
O (0.000, 0.088, 0.718) (multiplicity 4)
O (0.000, 0.103, 0.215) (multiplicity 4)
O (0.000, 0.299, 0.701) (multiplicity 4)
O (0.000, 0.301, 0.201) (multiplicity 4)
O (0.000, 0.500, 0.721) (multiplicity 2)



Diffraction record for Ho3Ag2Au8. The powder X-ray diffraction pattern is computed, not measured: it uses DFT lattice parameters and positions (GGA-PBE) and Cu Kα, 1.54184 Å.
No peak broadening, texture or thermal motion is included.

Principal peaks in the range 5° ≤ 2θ ≤ 70°, in order of rising 2θ:
(hkl), 2theta, I/Imax
1 0 7, 27.00, 24
1 1 0, 32.69, 30
0 1 11, 36.06, 87
1 1 6, 36.84, 29
2 0 2, 38.35, 100
0 2 4, 39.61, 56
2 0 5, 40.53, 32
1 1 9, 41.53, 32
1 2 11, 60.56, 39
2 2 0, 68.51, 37

Atomic structure:
Lattice parameters (Å, degrees): 5.4787 5.4787 32.1850 90.00 90.00 120.00
Space group R-3m (No. 166, hexagonal axes)
One atom of each set of equivalent atoms:
Ho (0.0000, 0.0000, 0.0000) (multiplicity 3)
Ho (0.0000, 0.0000, 0.1898) (multiplicity 6)
Ag (0.0000, 0.0000, 0.3637) (multiplicity 6)
Au (0.0000, 0.0000, 0.2813) (multiplicity 6)
Au (0.9998, 0.4999, 0.2282) (multiplicity 18)



Diffraction record for Ho3Er8Sc. The powder X-ray diffraction pattern is computed, not measured: it uses DFT lattice parameters and positions (GGA-PBE) and Cu Kα, 1.54184 Å.
No peak broadening, texture or thermal motion is included.

Principal peaks in the range 5° ≤ 2θ ≤ 70°, in order of rising 2θ:
(hkl), 2theta, I/Imax
1 1 2, 20.34, 19
2 0 0, 23.53, 22
2 2 0, 33.52, 100
3 1 2, 39.53, 11
2 2 4, 41.37, 7
4 0 0, 48.14, 18
3 3 2, 52.78, 5
4 2 0, 54.26, 9
4 2 4, 59.94, 38
5 1 2, 63.99, 3

Atomic structure:
Lattice parameters (Å, degrees): 7.558 7.558 15.132 90.00 90.00 90.00
Space group I4/mmm (No. 139)
One atom of each set of equivalent atoms:
Ho (0.000, 0.000, 0.000) (multiplicity 2)
Ho (0.000, 0.500, 0.250) (multiplicity 4)
Er (0.246, 0.246, 0.377) (multiplicity 16)
Sc (0.000, 0.000, 0.500) (multiplicity 2)



Diffraction record for TaCd2Ru. The powder X-ray diffraction pattern is computed, not measured: it uses DFT lattice parameters and positions (GGA-PBE) and Cu Kα, 1.54184 Å.
No peak broadening, texture or thermal motion is included.

Principal peaks in the range 5° ≤ 2θ ≤ 70°, in order of rising 2θ:
(hkl), 2theta, I/Imax
0 0 1, 11.79, 16
0 0 3, 35.90, 5
1 0 2, 37.17, 100
1 1 0, 40.31, 46
1 0 3, 46.27, 7
0 0 4, 48.53, 7
1 1 3, 55.07, 5
2 0 0, 58.33, 15
1 1 4, 64.86, 12
1 0 5, 69.30, 7

Atomic structure:
Lattice parameters (Å, degrees): 3.164 3.164 7.504 90.00 90.00 90.00
Space group P4mm (No. 99)
One atom of each set of equivalent atoms:
Ta (0.000, 0.000, 0.000) (multiplicity 1)
Cd (0.000, 0.000, 0.563) (multiplicity 1)
Cd (0.500, 0.500, 0.280) (multiplicity 1)
Ru (0.500, 0.500, 0.819) (multiplicity 1)



Diffraction record for Rb2SbAuS4. The powder X-ray diffraction pattern is computed, not measured: it uses DFT lattice parameters and positions (GGA-PBE) and Cu Kα, 1.54184 Å.
No peak broadening, texture or thermal motion is included.

Principal peaks in the range 5° ≤ 2θ ≤ 70°, in order of rising 2θ:
(hkl), 2theta, I/Imax
0 2 0, 8.62, 49
1 1 0, 13.26, 88
1 4 0, 21.41, 33
2 1 0, 25.63, 100
1 0 2, 27.27, 52
2 3 0, 28.42, 43
1 2 2, 28.65, 42
1 3 2, 30.29, 28
1 7 0, 33.08, 40
3 1 2, 45.95, 33

Atomic structure:
Lattice parameters (Å, degrees): 7.059 20.523 7.380 90.00 90.00 90.00
Space group Pbcm (No. 57)
One atom of each set of equivalent atoms:
Rb (0.081, 0.172, 0.250) (multiplicity 4)
Rb (0.297, 0.012, 0.750) (multiplicity 4)
Sb (0.204, 0.610, 0.750) (multiplicity 4)
Au (0.383, 0.750, 0.000) (multiplicity 4)
S (0.093, 0.160, 0.750) (multiplicity 4)
S (0.202, 0.004, 0.250) (multiplicity 4)
S (0.383, 0.638, 0.017) (multiplicity 8)



Diffraction record for Ac10Tl3Ga3. The powder X-ray diffraction pattern is computed, not measured: it uses DFT lattice parameters and positions (GGA-PBE) and Cu Kα, 1.54184 Å.
No peak broadening, texture or thermal motion is included.

Principal peaks in the range 5° ≤ 2θ ≤ 70°, in order of rising 2θ:
(hkl), 2theta, I/Imax
0 0 2, 23.82, 15
1 0 2, 26.15, 25
2 1 0, 28.39, 37
1 1 2, 30.31, 86
2 1 1, 30.86, 100
3 0 0, 32.27, 40
2 2 2, 44.87, 20
2 1 3, 46.52, 33
4 0 2, 50.23, 34
5 0 2, 60.97, 16

Atomic structure:
Lattice parameters (Å, degrees): 9.6050 9.6050 7.4708 90.00 90.00 120.00
Space group P-62m (No. 189)
One atom of each set of equivalent atoms:
Ac (0.0000, 0.2417, 0.0000) (multiplicity 3)
Ac (0.0000, 0.7572, 0.5000) (multiplicity 3)
Ac (0.3333, 0.6667, 0.2591) (multiplicity 4)
Tl (0.0000, 0.5955, 0.0000) (multiplicity 3)
Ga (0.0000, 0.4025, 0.5000) (multiplicity 3)